No. 1
The following is a calculated XRD peak list of Y3AuSe. It was derived from a structure optimized by DFT (PBE), using λ = 1.5418 Å (Cu Kα).

Structural model:
```
Y3AuSe
1.0
4.2038 0.0000 0.0000
0.0000 6.9689 0.0000
0.0000 0.0000 9.1002
Y Au Se
6 2 2
Cartesian
1.0509 0.0751 1.6830
1.0509 1.7422 5.0591
1.0509 3.4094 1.6830
3.1528 3.5595 7.4172
3.1528 5.2267 4.0411
3.1528 6.8938 7.4172
1.0509 5.2267 6.0313
3.1528 1.7422 3.0689
1.0509 1.7422 8.3090
3.1528 5.2267 0.7912
```

Most intense lines, 10° ≤ 2θ ≤ 80°, low angle first:
16.02 deg, rel. 21; 23.34 deg, rel. 31; 28.92 deg, rel. 44; 31.70 deg, rel. 28; 34.87 deg, rel. 100; 38.82 deg, rel. 30; 39.38 deg, rel. 22; 43.03 deg, rel. 25

No. 2
The following is a calculated XRD peak list of Y3AuSe2. It was derived from a structure optimized by DFT (PBE), using λ = 1.5418 Å (Cu Kα).

Structural model:
```
Y3AuSe2
1.0
4.0165 0.0000 0.0000
0.0000 5.8729 0.0000
0.0000 0.0000 12.7354
Y Au Se
6 2 4
Cartesian
0.0000 0.0000 0.0000
0.0000 0.0000 4.2285
0.0000 0.0000 8.5069
2.0082 2.9364 2.1392
2.0082 2.9364 6.3677
2.0082 2.9364 10.5962
0.0000 2.9364 0.0000
2.0082 0.0000 6.3677
0.0000 2.9364 4.2475
0.0000 2.9364 8.4879
2.0082 0.0000 2.1202
2.0082 0.0000 10.6152
```

Most intense lines, 10° ≤ 2θ ≤ 80°, low angle first:
30.44 deg, rel. 58; 30.64 deg, rel. 100; 42.59 deg, rel. 20; 43.74 deg, rel. 75; 45.15 deg, rel. 17; 53.25 deg, rel. 21; 55.43 deg, rel. 19; 72.00 deg, rel. 17

No. 3
The following is a calculated XRD peak list of Zr2AuSe. It was derived from a structure optimized by DFT (PBE), using λ = 1.5418 Å (Cu Kα).

Structural model:
```
Zr2AuSe
1.0
10.4292 0.0000 0.0000
0.0000 3.3440 0.0000
-0.5470 0.0000 4.6946
Zr Au Se
4 2 2
Cartesian
0.0000 0.0000 0.0000
2.1617 0.0000 2.5956
5.2146 1.6720 0.0000
7.3763 1.6720 2.5956
2.4864 1.6720 0.3113
7.7010 0.0000 0.3113
-0.1952 1.6720 2.3902
5.0194 0.0000 2.3902
```

Most intense lines, 10° ≤ 2θ ≤ 80°, low angle first:
17.12 deg, rel. 16; 33.45 deg, rel. 32; 34.62 deg, rel. 100; 38.35 deg, rel. 29; 40.79 deg, rel. 45; 43.69 deg, rel. 22; 68.94 deg, rel. 22; 70.32 deg, rel. 13

No. 4
The following is a calculated XRD peak list of Zr2AuSe. It was derived from a structure optimized by DFT (PBE), using λ = 1.5418 Å (Cu Kα).

Structural model:
```
Zr2AuSe
1.0
3.8795 0.0000 0.0000
-1.9398 3.3597 0.0000
0.0000 0.0000 19.7834
Zr Au Se
6 3 3
Cartesian
0.0000 0.0000 4.8574
0.0000 0.0000 14.9259
0.0000 2.2398 8.3315
0.0000 2.2398 18.0464
1.9398 1.1199 1.7370
1.9398 1.1199 11.4519
0.0000 0.0000 0.0000
0.0000 2.2398 13.1889
1.9398 1.1199 6.5944
0.0000 0.0000 9.8917
0.0000 2.2398 3.2972
1.9398 1.1199 16.4861
```

Most intense lines, 10° ≤ 2θ ≤ 80°, low angle first:
13.43 deg, rel. 11; 32.21 deg, rel. 100; 45.55 deg, rel. 37; 46.84 deg, rel. 35; 57.98 deg, rel. 18; 67.39 deg, rel. 12; 75.71 deg, rel. 16; 77.63 deg, rel. 16

No. 5
The following is a calculated XRD peak list of Si7Au6. It was derived from a structure optimized by DFT (PBE), using λ = 1.5418 Å (Cu Kα).

Structural model:
```
Si7Au6
1.0
2.6653 1.5388 9.5687
-2.6653 1.5388 9.5687
0.0000 -3.0776 9.5687
Si Au
7 6
Cartesian
0.0000 0.0000 0.0000
0.0000 -1.6141 7.0221
-1.3979 0.8071 7.0221
-1.3979 -0.8071 21.6840
1.3979 0.8071 7.0220
1.3979 -0.8071 21.6840
0.0000 1.6141 21.6840
0.0000 0.0000 4.9452
0.0000 0.0000 9.0768
0.0000 0.0000 12.0132
0.0000 0.0000 16.6928
0.0000 0.0000 19.6293
0.0000 0.0000 23.7608
```

Most intense lines, 10° ≤ 2θ ≤ 80°, low angle first:
22.91 deg, rel. 20; 29.13 deg, rel. 30; 31.58 deg, rel. 62; 33.63 deg, rel. 100; 37.60 deg, rel. 20; 46.80 deg, rel. 30; 51.32 deg, rel. 32; 58.85 deg, rel. 21

No. 6
The following is a calculated XRD peak list of Si5Au. It was derived from a structure optimized by DFT (PBE), using λ = 1.5418 Å (Cu Kα).

Structural model:
```
Si5Au
1.0
11.0265 0.0000 0.0000
0.0000 2.7500 0.0000
-2.7982 0.0000 6.2759
Si Au
10 2
Cartesian
0.0000 0.0000 0.0000
-0.5261 0.0000 5.2610
0.9882 1.3750 2.0719
1.7268 0.0000 4.2040
3.2411 1.3750 1.0149
5.5132 1.3750 0.0000
4.9872 1.3750 5.2610
6.5015 0.0000 2.0719
7.2401 1.3750 4.2040
8.7544 0.0000 1.0149
-1.3991 1.3750 3.1380
4.1142 0.0000 3.1380
```

Most intense lines, 10° ≤ 2θ ≤ 80°, low angle first:
14.11 deg, rel. 79; 17.57 deg, rel. 100; 33.79 deg, rel. 21; 35.48 deg, rel. 39; 38.22 deg, rel. 64; 39.54 deg, rel. 29; 52.87 deg, rel. 25; 53.40 deg, rel. 24

No. 7
The following is a calculated XRD peak list of Si2Au7. It was derived from a structure optimized by DFT (PBE), using λ = 1.5418 Å (Cu Kα).

Structural model:
```
Si2Au7
1.0
5.2345 -2.5932 0.0000
5.2345 2.5932 0.0000
0.0000 0.0000 11.9488
Si Au
4 14
Cartesian
5.2345 1.8059 7.2916
5.2345 1.8059 10.6316
5.2345 -1.8059 1.3172
5.2345 -1.8059 4.6572
2.0124 0.5315 2.9872
3.7650 1.2483 0.7676
3.7650 1.2483 5.2068
2.0124 -0.5315 8.9616
6.7041 1.2483 0.7676
6.7041 1.2483 5.2068
5.2345 0.1196 2.9872
5.2345 -0.1196 8.9616
3.7650 -1.2483 6.7420
3.7650 -1.2483 11.1812
8.4567 0.5315 2.9872
6.7041 -1.2483 6.7420
6.7041 -1.2483 11.1812
8.4567 -0.5315 8.9616
```

Most intense lines, 10° ≤ 2θ ≤ 80°, low angle first:
29.54 deg, rel. 54; 34.42 deg, rel. 40; 37.52 deg, rel. 34; 37.82 deg, rel. 43; 38.44 deg, rel. 100; 43.53 deg, rel. 21; 45.55 deg, rel. 27; 49.48 deg, rel. 24

No. 8
The following is a calculated XRD peak list of Sm4Si2Au. It was derived from a structure optimized by DFT (PBE), using λ = 1.5418 Å (Cu Kα).

Structural model:
```
Sm4Si2Au
1.0
2.4858 1.4352 8.8840
-2.4858 1.4352 8.8840
0.0000 -2.8703 8.8840
Sm Si Au
4 2 1
Cartesian
0.0000 0.0000 3.1931
0.0000 0.0000 7.8599
0.0000 0.0000 18.7921
0.0000 0.0000 23.4589
0.0000 0.0000 10.8315
0.0000 0.0000 15.8206
0.0000 0.0000 13.3260
```

Most intense lines, 10° ≤ 2θ ≤ 80°, low angle first:
26.61 deg, rel. 100; 36.13 deg, rel. 71; 39.78 deg, rel. 30; 45.44 deg, rel. 24; 54.82 deg, rel. 12; 59.38 deg, rel. 22; 64.98 deg, rel. 13; 67.43 deg, rel. 13